No. 1
For Pa2Ge2Ru3, DFT lattice parameters and positions (GGA-PBE) gives the theoretical powder XRD pattern in this record (Cu Kα X-rays).
Peak positions follow from Bragg's law for the DFT cell and can differ from measured ones.

Structural model:
```
data_Pa2Ge2Ru3
_space_group_name_H-M_alt 'P -1'
_space_group_IT_number 2
_space_group_name_Hall '-P 1'
_cell_length_a 4.4233
_cell_length_b 5.5469
_cell_length_c 6.3432
_cell_angle_alpha 79.13
_cell_angle_beta 71.18
_cell_angle_gamma 70.86
loop_
_atom_site_label
_atom_site_fract_x
_atom_site_fract_y
_atom_site_fract_z
Pa1 0.2443 0.2298 0.3513
Ge1 0.1893 0.3083 0.8626
Ru1 0.2083 0.9090 0.1644
Ru2 0.5000 0.5000 0.5000
```

Peak list (8 most intense, 2θ from 15° to 90°, low angle first)
- hkl 1 1 0, 2θ = 23.78°, I = 43.4
- hkl 1 0 -1, 2θ = 30.12°, I = 74.0
- hkl 1 -1 0, 2θ = 31.81°, I = 67.3
- hkl 1 -1 1, 2θ = 33.14°, I = 100.0
- hkl 1 2 1, 2θ = 34.37°, I = 62.4
- hkl 0 1 -2, 2θ = 35.98°, I = 99.7
- hkl 1 2 2, 2θ = 39.86°, I = 57.8
- hkl 2 1 2, 2θ = 44.07°, I = 42.6

***

No. 2
For Pa3GeRu4, DFT lattice parameters and positions (GGA-PBE) gives the theoretical powder XRD pattern in this record (Cu Kα X-rays).
Peak positions follow from Bragg's law for the DFT cell and can differ from measured ones.

Structural model:
```
data_Pa3GeRu4
_space_group_name_H-M_alt 'I m m 2'
_space_group_IT_number 44
_space_group_name_Hall 'I 2 -2'
_cell_length_a 5.6887
_cell_length_b 9.1097
_cell_length_c 5.9145
_cell_angle_alpha 90.00
_cell_angle_beta 90.00
_cell_angle_gamma 90.00
loop_
_atom_site_label
_atom_site_fract_x
_atom_site_fract_y
_atom_site_fract_z
Pa1 0.0000 0.0000 0.0000
Pa2 0.0000 0.2936 0.7234
Ge1 0.0000 0.5000 0.3281
Ru1 0.0000 0.2366 0.2248
Ru2 0.2461 0.0000 0.4767
```

Peak list (8 most intense, 2θ from 15° to 90°, low angle first)
- hkl 1 2 1, 2θ = 29.31°, I = 37.7
- hkl 2 0 0, 2θ = 31.45°, I = 41.9
- hkl 1 1 2, 2θ = 35.61°, I = 29.7
- hkl 0 2 2, 2θ = 36.22°, I = 100.0
- hkl 2 1 1, 2θ = 36.41°, I = 48.3
- hkl 0 4 0, 2θ = 39.57°, I = 33.1
- hkl 2 3 1, 2θ = 46.35°, I = 39.5
- hkl 2 2 2, 2θ = 48.71°, I = 30.1

***

No. 3
For Pa3Ge4Ru4, DFT lattice parameters and positions (GGA-PBE) gives the theoretical powder XRD pattern in this record (Cu Kα X-rays).
Peak positions follow from Bragg's law for the DFT cell and can differ from measured ones.

Structural model:
```
data_Pa3Ge4Ru4
_space_group_name_H-M_alt 'I m m m'
_space_group_IT_number 71
_space_group_name_Hall '-I 2 2'
_cell_length_a 4.0894
_cell_length_b 6.8977
_cell_length_c 14.3082
_cell_angle_alpha 90.00
_cell_angle_beta 90.00
_cell_angle_gamma 90.00
loop_
_atom_site_label
_atom_site_fract_x
_atom_site_fract_y
_atom_site_fract_z
Pa1 0.0000 0.0000 0.0000
Pa2 0.0000 0.5000 0.1362
Ge1 0.0000 0.0000 0.2061
Ge2 0.0000 0.1946 0.5000
Ru1 0.0000 0.2856 0.3266
```

Peak list (8 most intense, 2θ from 15° to 90°, low angle first)
- hkl 0 1 3, 2θ = 22.65°, I = 32.8
- hkl 1 2 1, 2θ = 34.59°, I = 100.0
- hkl 1 1 4, 2θ = 35.80°, I = 82.8
- hkl 0 0 6, 2θ = 37.72°, I = 25.9
- hkl 1 2 3, 2θ = 39.04°, I = 26.6
- hkl 0 3 3, 2θ = 43.71°, I = 28.0
- hkl 2 0 0, 2θ = 44.30°, I = 33.7
- hkl 1 2 7, 2θ = 56.98°, I = 28.4

***

No. 4
For PaGe3Ru, DFT lattice parameters and positions (GGA-PBE) gives the theoretical powder XRD pattern in this record (Cu Kα X-rays).
Peak positions follow from Bragg's law for the DFT cell and can differ from measured ones.

Structural model:
```
data_PaGe3Ru
_space_group_name_H-M_alt 'P m n 21'
_space_group_IT_number 31
_space_group_name_Hall 'P 2ac -2'
_cell_length_a 6.0590
_cell_length_b 5.5704
_cell_length_c 5.7815
_cell_angle_alpha 90.00
_cell_angle_beta 90.00
_cell_angle_gamma 90.00
loop_
_atom_site_label
_atom_site_fract_x
_atom_site_fract_y
_atom_site_fract_z
Pa1 0.0000 0.1504 0.0000
Ge1 0.0000 0.9086 0.5479
Ge2 0.2350 0.3126 0.4463
Ru1 0.0000 0.6084 0.2464
```

Peak list (8 most intense, 2θ from 15° to 90°, low angle first)
- hkl 1 0 1, 2θ = 21.24°, I = 42.5
- hkl 1 1 1, 2θ = 26.65°, I = 28.6
- hkl 0 0 2, 2θ = 30.93°, I = 28.9
- hkl 1 2 0, 2θ = 35.47°, I = 24.1
- hkl 0 2 1, 2θ = 35.79°, I = 64.9
- hkl 2 1 1, 2θ = 37.19°, I = 100.0
- hkl 1 1 2, 2θ = 38.09°, I = 36.6
- hkl 2 1 2, 2θ = 46.37°, I = 38.7

***

No. 5
For Pa3Ge2Ru2, DFT lattice parameters and positions (GGA-PBE) gives the theoretical powder XRD pattern in this record (Cu Kα X-rays).
Peak positions follow from Bragg's law for the DFT cell and can differ from measured ones.

Structural model:
```
data_Pa3Ge2Ru2
_space_group_name_H-M_alt 'P b c m'
_space_group_IT_number 57
_space_group_name_Hall '-P 2c 2b'
_cell_length_a 5.5457
_cell_length_b 7.8621
_cell_length_c 13.0123
_cell_angle_alpha 90.00
_cell_angle_beta 90.00
_cell_angle_gamma 90.00
loop_
_atom_site_label
_atom_site_fract_x
_atom_site_fract_y
_atom_site_fract_z
Pa1 0.1236 0.2307 0.2500
Pa2 0.3336 0.5999 0.0995
Ge1 0.1967 0.2500 0.0000
Ge2 0.3897 0.6132 0.7500
Ru1 0.1249 0.5457 0.5934
```

Peak list (8 most intense, 2θ from 15° to 90°, low angle first)
- hkl 1 1 3, 2θ = 28.49°, I = 36.5
- hkl 1 1 4, 2θ = 33.92°, I = 82.5
- hkl 2 1 0, 2θ = 34.29°, I = 57.4
- hkl 1 2 3, 2θ = 34.79°, I = 66.1
- hkl 0 2 4, 2θ = 35.83°, I = 56.8
- hkl 1 3 0, 2θ = 37.97°, I = 100.0
- hkl 2 1 3, 2θ = 40.27°, I = 85.1
- hkl 0 0 6, 2θ = 41.64°, I = 43.8

***

No. 6
For PaTl2GeS5, DFT lattice parameters and positions (GGA-PBE) gives the theoretical powder XRD pattern in this record (Cu Kα X-rays).
Peak positions follow from Bragg's law for the DFT cell and can differ from measured ones.

Structural model:
```
data_PaTl2GeS5
_space_group_name_H-M_alt 'C m c 21'
_space_group_IT_number 36
_space_group_name_Hall 'C 2c -2'
_cell_length_a 4.2143
_cell_length_b 18.0580
_cell_length_c 13.7008
_cell_angle_alpha 90.00
_cell_angle_beta 90.00
_cell_angle_gamma 90.00
loop_
_atom_site_label
_atom_site_fract_x
_atom_site_fract_y
_atom_site_fract_z
Pa1 0.0000 0.2053 0.0000
Tl1 0.0000 0.1120 0.6410
Tl2 0.0000 0.1213 0.3012
Ge1 0.0000 0.4421 0.4019
S1 0.0000 0.0502 0.9839
S2 0.0000 0.2943 0.6196
S3 0.0000 0.3112 0.3690
S4 0.0000 0.3425 0.9776
S5 0.0000 0.4968 0.2594
```

Peak list (8 most intense, 2θ from 15° to 90°, low angle first)
- hkl 0 2 2, 2θ = 16.24°, I = 29.6
- hkl 0 2 3, 2θ = 21.81°, I = 75.4
- hkl 1 3 0, 2θ = 25.81°, I = 29.1
- hkl 1 3 1, 2θ = 26.63°, I = 38.9
- hkl 1 1 3, 2θ = 29.26°, I = 100.0
- hkl 0 6 1, 2θ = 30.41°, I = 44.0
- hkl 1 5 2, 2θ = 35.25°, I = 37.3
- hkl 2 0 0, 2θ = 42.92°, I = 21.9

***

No. 7
For PaGeSb, DFT lattice parameters and positions (GGA-PBE) gives the theoretical powder XRD pattern in this record (Cu Kα X-rays).
Peak positions follow from Bragg's law for the DFT cell and can differ from measured ones.

Structural model:
```
data_PaGeSb
_space_group_name_H-M_alt 'C m c m'
_space_group_IT_number 63
_space_group_name_Hall '-C 2c 2'
_cell_length_a 4.2194
_cell_length_b 16.1478
_cell_length_c 4.1971
_cell_angle_alpha 90.00
_cell_angle_beta 90.00
_cell_angle_gamma 90.00
loop_
_atom_site_label
_atom_site_fract_x
_atom_site_fract_y
_atom_site_fract_z
Pa1 0.0000 0.0973 0.2500
Ge1 0.0000 0.4436 0.2500
Sb1 0.0000 0.2505 0.7500
```

Peak list (8 most intense, 2θ from 15° to 90°, low angle first)
- hkl 1 1 0, 2θ = 21.77°, I = 12.0
- hkl 0 2 1, 2θ = 23.89°, I = 20.2
- hkl 0 6 0, 2θ = 33.29°, I = 21.1
- hkl 1 3 1, 2θ = 34.44°, I = 100.0
- hkl 1 5 0, 2θ = 34.99°, I = 13.1
- hkl 2 0 0, 2θ = 42.87°, I = 14.9
- hkl 0 0 2, 2θ = 43.11°, I = 14.7
- hkl 1 3 3, 2θ = 73.44°, I = 12.8

***

No. 8
For Pa2Ge2Se7, DFT lattice parameters and positions (GGA-PBE) gives the theoretical powder XRD pattern in this record (Cu Kα X-rays).
Peak positions follow from Bragg's law for the DFT cell and can differ from measured ones.

Structural model:
abc: 13.2386 13.2386 13.2386
angles: 90.00 90.00 90.00
Space group Fd-3m (No. 227, origin choice 2)
Asymmetric unit:
Pa: 0.0000 0.0000 0.0000 (multiplicity 16)
Ge: 0.0000 0.0000 0.5000 (multiplicity 16)
Se: 0.1135 0.3750 0.8750 (multiplicity 48)
Se: 0.1250 0.1250 0.1250 (multiplicity 8)

Peak list (8 most intense, 2θ from 15° to 90°, low angle first)
- hkl 2 2 2, 2θ = 23.28°, I = 66.8
- hkl 3 3 1, 2θ = 29.41°, I = 18.9
- hkl 4 4 0, 2θ = 38.47°, I = 100.0
- hkl 6 2 2, 2θ = 45.45°, I = 34.8
- hkl 8 0 0, 2θ = 55.53°, I = 16.8
- hkl 6 6 2, 2θ = 61.02°, I = 14.6
- hkl 8 4 4, 2θ = 69.58°, I = 33.5
- hkl 10 6 2, 2θ = 87.10°, I = 11.3

***

No. 9
For PaGe2Se6, DFT lattice parameters and positions (GGA-PBE) gives the theoretical powder XRD pattern in this record (Cu Kα X-rays).
Peak positions follow from Bragg's law for the DFT cell and can differ from measured ones.

Structural model:
```
data_PaGe2Se6
_space_group_name_H-M_alt 'C 1 2/c 1'
_space_group_IT_number 15
_space_group_name_Hall '-C 2yc'
_cell_length_a 13.2860
_cell_length_b 11.7983
_cell_length_c 6.8147
_cell_angle_alpha 90.00
_cell_angle_beta 99.12
_cell_angle_gamma 90.00
loop_
_atom_site_label
_atom_site_fract_x
_atom_site_fract_y
_atom_site_fract_z
Pa1 0.0000 0.1081 0.2500
Ge1 0.1864 0.4254 0.3181
Se1 0.1196 0.0725 0.6242
Se2 0.1222 0.4086 0.6303
Se3 0.1336 0.2583 0.1274
```

Peak list (8 most intense, 2θ from 15° to 90°, low angle first)
- hkl 1 1 -1, 2θ = 15.73°, I = 52.0
- hkl 3 1 0, 2θ = 21.68°, I = 73.9
- hkl 2 2 1, 2θ = 25.39°, I = 58.5
- hkl 0 0 2, 2θ = 26.55°, I = 71.6
- hkl 2 0 2, 2θ = 31.77°, I = 73.1
- hkl 3 3 -1, 2θ = 32.06°, I = 80.5
- hkl 5 3 1, 2θ = 45.34°, I = 74.3
- hkl 1 3 -3, 2θ = 46.16°, I = 100.0

***

No. 10
For Pa2Si3Ge2, DFT lattice parameters and positions (GGA-PBE) gives the theoretical powder XRD pattern in this record (Cu Kα X-rays).
Peak positions follow from Bragg's law for the DFT cell and can differ from measured ones.

Structural model:
```
data_Pa2Si3Ge2
_space_group_name_H-M_alt 'I 21 3'
_space_group_IT_number 199
_space_group_name_Hall 'I 2b 2c 3'
_cell_length_a 8.2854
_cell_length_b 8.2854
_cell_length_c 8.2854
_cell_angle_alpha 90.00
_cell_angle_beta 90.00
_cell_angle_gamma 90.00
loop_
_atom_site_label
_atom_site_fract_x
_atom_site_fract_y
_atom_site_fract_z
Pa1 0.0056 0.0056 0.0056
Si1 0.0000 0.2500 0.2538
Ge1 0.1920 0.3080 0.6920
```

Peak list (8 most intense, 2θ from 15° to 90°, low angle first)
- hkl 2 0 0, 2θ = 21.45°, I = 43.0
- hkl 2 2 0, 2θ = 30.52°, I = 100.0
- hkl 2 2 2, 2θ = 37.61°, I = 33.9
- hkl 4 0 0, 2θ = 43.70°, I = 22.6
- hkl 4 2 0, 2θ = 49.18°, I = 35.6
- hkl 4 2 2, 2θ = 54.24°, I = 30.3
- hkl 6 0 0, 2θ = 67.87°, I = 20.3
- hkl 6 2 2, 2θ = 76.22°, I = 19.8

***

No. 11
For Pa3SiGe2, DFT lattice parameters and positions (GGA-PBE) gives the theoretical powder XRD pattern in this record (Cu Kα X-rays).
Peak positions follow from Bragg's law for the DFT cell and can differ from measured ones.

Structural model:
```
data_Pa3SiGe2
_space_group_name_H-M_alt 'C 1 2/m 1'
_space_group_IT_number 12
_space_group_name_Hall '-C 2y'
_cell_length_a 7.1270
_cell_length_b 12.3466
_cell_length_c 7.1409
_cell_angle_alpha 90.00
_cell_angle_beta 109.45
_cell_angle_gamma 90.00
loop_
_atom_site_label
_atom_site_fract_x
_atom_site_fract_y
_atom_site_fract_z
Pa1 0.2447 0.0000 0.2447
Pa2 0.2496 0.1683 0.7540
Si1 0.0000 0.1670 0.0000
Ge1 0.0000 0.0000 0.5000
Ge2 0.0000 0.3350 0.5000
Ge3 0.0000 0.5000 0.0000
```

Peak list (8 most intense, 2θ from 15° to 90°, low angle first)
- hkl 2 0 0, 2θ = 26.51°, I = 63.8
- hkl 1 3 1, 2θ = 30.71°, I = 100.0
- hkl 0 6 0, 2θ = 43.98°, I = 75.7
- hkl 2 6 0, 2θ = 52.10°, I = 24.2
- hkl 2 6 -2, 2θ = 54.58°, I = 20.2
- hkl 2 6 2, 2θ = 63.95°, I = 12.6
- hkl 1 9 1, 2θ = 72.59°, I = 29.1
- hkl 6 0 -2, 2θ = 80.90°, I = 19.8

***

No. 12
For PaSiGe, DFT lattice parameters and positions (GGA-PBE) gives the theoretical powder XRD pattern in this record (Cu Kα X-rays).
Peak positions follow from Bragg's law for the DFT cell and can differ from measured ones.

Structural model:
```
data_PaSiGe
_space_group_name_H-M_alt 'C m c m'
_space_group_IT_number 63
_space_group_name_Hall '-C 2c 2'
_cell_length_a 3.9637
_cell_length_b 15.1517
_cell_length_c 4.0970
_cell_angle_alpha 90.00
_cell_angle_beta 90.00
_cell_angle_gamma 90.00
loop_
_atom_site_label
_atom_site_fract_x
_atom_site_fract_y
_atom_site_fract_z
Pa1 0.0000 0.1128 0.2500
Si1 0.0000 0.4640 0.2500
Ge1 0.0000 0.3098 0.2500
```

Peak list (8 most intense, 2θ from 15° to 90°, low angle first)
- hkl 1 1 0, 2θ = 23.20°, I = 28.3
- hkl 0 4 0, 2θ = 23.49°, I = 39.1
- hkl 0 2 1, 2θ = 24.70°, I = 47.0
- hkl 1 1 1, 2θ = 31.97°, I = 100.0
- hkl 1 3 1, 2θ = 36.20°, I = 45.2
- hkl 1 5 0, 2θ = 37.35°, I = 56.2
- hkl 0 6 1, 2θ = 42.03°, I = 39.7
- hkl 1 5 2, 2θ = 59.23°, I = 30.3